# 1
Diffraction record for Ba2Tb2MgTi2Cu2O11. The XRD peak list is computed, not measured: it uses a cell relaxed with PBE and CuKα.

Peak list (10 most intense, 10° ≤ 2θ ≤ 90°, by angle)
d (Å)  2theta  Rel. int.
8.750  10.11  42
3.958  22.46  36
3.500  25.45  22
3.275  27.23  23
2.935  30.45  41
2.799  31.97  86
2.622  34.20  100
2.186  41.30  36
1.979  45.85  56
1.580  58.42  42

Cell and atoms:
```
data_Ba2Tb2MgTi2Cu2O11
_chemical_formula_sum 'Ba2 Tb2 Mg1 Ti2 Cu2 O11'
_cell_length_a 3.958
_cell_length_b 3.958
_cell_length_c 17.499
_cell_angle_alpha 90.00
_cell_angle_beta 90.00
_cell_angle_gamma 90.00
_space_group_name_H-M_alt 'P 4 m m'
_space_group_IT_number 99
loop_
_space_group_symop_operation_xyz
'x,y,z'
'-y,x,z'
'-x,-y,z'
'y,-x,z'
'-x,y,z'
'y,x,z'
'x,-y,z'
'-y,-x,z'
loop_
_atom_site_label
_atom_site_type_symbol
_atom_site_fract_x
_atom_site_fract_y
_atom_site_fract_z
Ba1 Ba 0.000 0.000 0.000
Ba2 Ba 0.000 0.000 0.393
Tb1 Tb 0.000 0.000 0.195
Tb2 Tb 0.000 0.000 0.632
Mg1 Mg 0.000 0.000 0.817
Ti1 Ti 0.500 0.500 0.542
Ti2 Ti 0.500 0.500 0.784
Cu1 Cu 0.500 0.500 0.110
Cu2 Cu 0.500 0.500 0.272
O1 O 0.000 0.500 0.104
O2 O 0.000 0.500 0.274
O3 O 0.000 0.500 0.559
O4 O 0.000 0.500 0.779
O5 O 0.500 0.500 0.438
O6 O 0.500 0.500 0.665
O7 O 0.500 0.500 0.894
```

***

# 2
Diffraction record for Ba2MgCuTeO6. The XRD peak list is computed, not measured: it uses a cell relaxed with PBE and CuKα.

Peak list (10 most intense, 10° ≤ 2θ ≤ 90°, by angle)
d (Å)  2theta  Rel. int.
5.123  17.31  30
3.675  24.22  73
3.392  26.27  100
3.237  27.55  84
3.115  28.66  34
3.061  29.17  78
2.916  30.66  53
2.695  33.24  45
2.345  38.39  29
2.279  39.54  35

Cell and atoms:
```
data_Ba2MgCuTeO6
_chemical_formula_sum 'Ba2 Mg1 Cu1 Te1 O6'
_cell_length_a 5.563
_cell_length_b 6.269
_cell_length_c 6.400
_cell_angle_alpha 112.77
_cell_angle_beta 102.74
_cell_angle_gamma 102.17
_space_group_name_H-M_alt 'P -1'
_space_group_IT_number 2
loop_
_space_group_symop_operation_xyz
'x,y,z'
'-x,-y,-z'
loop_
_atom_site_label
_atom_site_type_symbol
_atom_site_fract_x
_atom_site_fract_y
_atom_site_fract_z
Ba1 Ba 0.182 0.228 0.398
Mg1 Mg 0.500 0.500 0.000
Cu1 Cu 0.500 0.000 0.000
Te1 Te 0.000 0.500 0.000
O1 O 0.130 0.224 0.813
O2 O 0.250 0.693 0.867
O3 O 0.336 0.590 0.276
```

***

# 3
Diffraction record for Ba2MgCuTeO6. The XRD peak list is computed, not measured: it uses a cell relaxed with PBE and CuKα.

Peak list (10 most intense, 10° ≤ 2θ ≤ 90°, by angle)
d (Å)  2theta  Rel. int.
5.164  17.17  31
3.298  27.04  100
3.110  28.70  69
2.921  30.61  37
2.893  30.91  36
2.128  42.48  28
2.120  42.65  18
2.055  44.06  44
1.750  52.27  16
1.371  68.40  18

Cell and atoms:
```
data_Ba2MgCuTeO6
_chemical_formula_sum 'Ba4 Mg2 Cu2 Te2 O12'
_cell_length_a 8.214
_cell_length_b 11.048
_cell_length_c 5.786
_cell_angle_alpha 90.00
_cell_angle_beta 134.67
_cell_angle_gamma 90.00
_space_group_name_H-M_alt 'C 1 2/m 1'
_space_group_IT_number 12
loop_
_space_group_symop_operation_xyz
'x,y,z'
'-x,-y,-z'
'-x,y,-z'
'x,-y,z'
'x+1/2,y+1/2,z'
'-x+1/2,-y+1/2,-z'
'-x+1/2,y+1/2,-z'
'x+1/2,-y+1/2,z'
loop_
_atom_site_label
_atom_site_type_symbol
_atom_site_fract_x
_atom_site_fract_y
_atom_site_fract_z
Ba1 Ba 0.000 0.182 0.000
Mg1 Mg 0.000 0.500 0.000
Cu1 Cu 0.000 0.500 0.500
Te1 Te 0.000 0.000 0.500
O1 O 0.000 0.192 0.500
O2 O 0.237 0.500 0.488
O3 O 0.238 0.500 0.987
```